Calculated PXRD pattern of Dy3Er7In for Cu Kα X-rays, from a structure optimized by DFT (GGA-PBE).
Kinematic intensities with the Lorentz-polarization factor, no thermal factor.

Top 8 peaks for 2θ from 5° to 70°, by angle:
14.82 deg, I = 3.8; 18.19 deg, I = 5.9; 25.83 deg, I = 4.1; 31.77 deg, I = 100.0; 36.85 deg, I = 50.9; 53.10 deg, I = 35.2; 63.22 deg, I = 41.7; 66.38 deg, I = 12.0

Cell and atoms:
```
Dy3Er7In
1.0
6.9018 0.0000 0.0000
-3.4509 5.9772 0.0000
0.0000 0.0000 8.4419
Dy Er In
3 7 1
Cartesian
0.0000 2.0020 0.0000
-1.7171 4.9762 0.0000
1.7171 4.9762 0.0000
-1.6949 3.0062 2.8494
1.7120 0.9885 5.5729
0.0000 3.9848 5.6717
1.6949 3.0062 2.8494
0.0000 5.9419 2.8494
5.1898 0.9885 5.5729
3.4509 4.0003 5.5729
0.0000 0.0000 2.8412
```

Calculated PXRD pattern of Dy3Er3In for Cu Kα X-rays, from a structure optimized by DFT (GGA-PBE).
Kinematic intensities with the Lorentz-polarization factor, no thermal factor.

Top 8 peaks for 2θ from 5° to 70°, by angle:
27.31 deg, I = 34.6; 30.21 deg, I = 22.0; 30.56 deg, I = 43.5; 32.22 deg, I = 100.0; 33.93 deg, I = 85.3; 34.74 deg, I = 63.5; 34.96 deg, I = 38.0; 50.11 deg, I = 27.4

Cell and atoms:
```
Dy3Er3In
1.0
13.1821 0.0000 0.0000
0.0000 5.1652 0.0000
0.0000 0.0000 12.6476
Dy Er In
12 12 4
Cartesian
1.1551 1.2913 2.3953
2.2841 3.8739 9.6759
2.4772 3.8739 4.6504
4.1139 1.2913 10.9742
4.3070 1.2913 3.3521
5.4360 3.8739 8.7191
7.7461 1.2913 3.9285
8.8751 3.8739 9.2955
9.0682 3.8739 1.6734
10.7049 1.2913 7.9972
10.8981 1.2913 2.9717
12.0271 3.8739 10.2523
0.2701 1.2913 5.4734
0.6936 1.2913 11.7449
2.9487 3.8739 0.6957
3.6424 1.2913 7.0195
5.8975 3.8739 5.4211
6.3209 3.8739 11.7972
6.8612 1.2913 0.8504
7.2846 1.2913 7.2265
9.5397 3.8739 5.6281
10.2335 1.2913 11.9519
12.4886 3.8739 0.9027
12.9120 3.8739 7.1742
0.6991 1.2913 8.6434
5.8920 3.8739 2.3196
7.2902 1.2913 10.3280
12.4830 3.8739 4.0042
```

Calculated PXRD pattern of DyEr3In3 for Cu Kα X-rays, from a structure optimized by DFT (GGA-PBE).
Kinematic intensities with the Lorentz-polarization factor, no thermal factor.

Top 8 peaks for 2θ from 5° to 70°, by angle:
30.53 deg, I = 100.0; 36.31 deg, I = 74.4; 43.72 deg, I = 8.8; 48.15 deg, I = 21.0; 50.25 deg, I = 22.7; 61.76 deg, I = 25.3; 63.55 deg, I = 12.3; 65.31 deg, I = 15.3

Cell and atoms:
```
DyEr3In3
1.0
9.2587 0.0000 0.0000
0.0000 9.2587 0.0000
0.0000 0.0000 9.2587
Dy Er In
4 12 12
Cartesian
0.6559 3.9734 5.2852
3.9734 5.2852 0.6559
5.2852 0.6559 3.9734
8.6028 8.6028 8.6028
0.7455 5.3748 8.5132
1.6245 1.6245 1.6245
1.6303 7.6284 2.9991
2.9991 1.6303 7.6284
3.0048 7.6342 6.2539
3.8839 3.8839 3.8839
5.3748 8.5132 0.7455
6.2539 3.0048 7.6342
6.2596 6.2596 6.2596
7.6284 2.9991 1.6303
7.6342 6.2539 3.0048
8.5132 0.7455 5.3748
0.0118 2.3705 8.1229
1.1358 4.6412 2.2589
2.2589 1.1358 4.6412
2.3705 8.1229 0.0118
3.4936 4.6175 6.8882
4.6175 6.8882 3.4936
4.6412 2.2589 1.1358
5.7651 9.2469 6.9998
6.8882 3.4936 4.6175
6.9998 5.7651 9.2469
8.1229 0.0118 2.3705
9.2469 6.9998 5.7651
```

Calculated PXRD pattern of DyEr5In for Cu Kα X-rays, from a structure optimized by DFT (GGA-PBE).
Kinematic intensities with the Lorentz-polarization factor, no thermal factor.

Top 8 peaks for 2θ from 5° to 70°, by angle:
15.50 deg, I = 59.3; 18.33 deg, I = 39.0; 22.44 deg, I = 38.4; 24.09 deg, I = 54.8; 27.95 deg, I = 53.1; 31.29 deg, I = 67.8; 32.35 deg, I = 63.4; 40.43 deg, I = 100.0

Cell and atoms:
```
DyEr5In
1.0
7.9232 0.0000 0.0000
0.0000 11.4352 0.0000
0.0000 0.0000 6.1139
Dy Er In
2 10 2
Cartesian
0.0000 0.0000 0.0000
3.9616 5.7176 3.0570
0.0000 2.8856 2.3997
0.0000 5.7176 4.3265
0.0000 8.5496 2.3997
1.4656 0.0000 3.0490
2.4960 5.7176 6.1060
3.9616 0.0000 1.2695
3.9616 2.8320 5.4566
3.9616 8.6032 5.4566
5.4272 5.7176 6.1060
6.4576 0.0000 3.0490
0.0000 5.7176 1.4201
3.9616 0.0000 4.4771
```

Calculated PXRD pattern of Dy3Er4In4 for Cu Kα X-rays, from a structure optimized by DFT (GGA-PBE).
Kinematic intensities with the Lorentz-polarization factor, no thermal factor.

Top 8 peaks for 2θ from 5° to 70°, by angle:
28.86 deg, I = 100.0; 28.99 deg, I = 26.1; 30.79 deg, I = 91.6; 32.77 deg, I = 28.7; 35.45 deg, I = 44.3; 38.60 deg, I = 24.6; 38.71 deg, I = 42.9; 53.50 deg, I = 27.4

Cell and atoms:
```
Dy3Er4In4
1.0
-2.3259 4.2782 8.2523
2.3259 -4.2782 8.2523
2.3259 4.2782 -8.2523
Dy Er In
3 4 4
Cartesian
0.0000 0.0000 0.0000
2.3259 0.0000 6.2996
0.0000 4.2782 1.9527
2.3259 1.7037 -2.7968
2.3259 1.7037 2.7968
0.0000 2.5746 5.4555
0.0000 2.5746 11.0491
0.0000 0.0000 3.7328
2.3259 2.7634 0.0000
0.0000 1.5148 8.2523
0.0000 0.0000 12.7717
```

Calculated PXRD pattern of Dy3ErIn2 for Cu Kα X-rays, from a structure optimized by DFT (GGA-PBE).
Kinematic intensities with the Lorentz-polarization factor, no thermal factor.

Top 8 peaks for 2θ from 5° to 70°, by angle:
31.83 deg, I = 32.0; 32.40 deg, I = 100.0; 33.15 deg, I = 60.6; 34.72 deg, I = 40.7; 38.48 deg, I = 15.2; 48.20 deg, I = 17.0; 58.74 deg, I = 16.6; 61.11 deg, I = 17.0

Cell and atoms:
```
Dy3ErIn2
1.0
5.1671 0.0000 0.0000
0.0000 9.8055 0.0000
0.0000 0.0000 6.7009
Dy Er In
6 2 4
Cartesian
0.0000 0.3556 0.0000
0.0000 3.1359 2.3531
0.0000 6.6696 5.7036
0.0000 9.4499 3.3504
2.5835 1.7907 4.8359
2.5835 8.0148 1.4855
2.5835 4.5389 0.4836
2.5835 5.2666 3.8341
0.0000 3.5126 5.5481
0.0000 6.2929 2.1977
2.5835 1.3932 1.6442
2.5835 8.4123 4.9946
```

Calculated PXRD pattern of Dy2Er2In3 for Cu Kα X-rays, from a structure optimized by DFT (GGA-PBE).
Kinematic intensities with the Lorentz-polarization factor, no thermal factor.

Top 8 peaks for 2θ from 5° to 70°, by angle:
25.42 deg, I = 2.2; 32.68 deg, I = 100.0; 36.00 deg, I = 39.4; 41.50 deg, I = 12.2; 51.83 deg, I = 13.8; 56.09 deg, I = 19.8; 62.63 deg, I = 30.4; 68.48 deg, I = 10.9

Cell and atoms:
```
Dy2Er2In3
1.0
30.6615 0.0000 0.0000
0.0000 3.5278 0.0000
-0.4032 0.0000 3.5047
Dy Er In
4 4 6
Cartesian
2.1175 0.0000 0.2443
12.8101 1.7639 3.2603
17.4482 1.7639 0.2443
28.1408 0.0000 3.2603
6.3248 0.0000 0.7331
8.6027 1.7639 2.7716
21.6555 1.7639 0.7331
23.9335 0.0000 2.7716
-0.2016 1.7639 1.7523
4.0320 1.7639 2.2421
10.8955 0.0000 1.2626
15.1291 0.0000 1.7523
19.3627 0.0000 2.2421
26.2263 1.7639 1.2626
```

Calculated PXRD pattern of Pm6Dy3Er2In for Cu Kα X-rays, from a structure optimized by DFT (GGA-PBE).
Kinematic intensities with the Lorentz-polarization factor, no thermal factor.

Top 8 peaks for 2θ from 5° to 70°, by angle:
30.72 deg, I = 100.0; 30.97 deg, I = 32.6; 35.66 deg, I = 44.8; 35.77 deg, I = 22.2; 51.25 deg, I = 15.9; 51.53 deg, I = 23.5; 61.02 deg, I = 23.6; 63.99 deg, I = 12.2

Cell and atoms:
```
Pm6Dy3Er2In
1.0
3.0856 -5.3582 0.0000
3.0856 5.3582 0.0000
-2.0858 0.0000 11.5506
Pm Dy Er In
6 3 2 1
Cartesian
-0.0417 1.7568 8.6235
0.9907 0.0000 2.9085
-0.0417 -1.7568 8.6235
4.1270 1.7568 2.9271
3.0946 0.0000 8.6421
4.1270 -1.7568 2.9271
3.0856 3.5606 0.0000
3.0856 0.0000 0.0000
3.0856 -3.5606 0.0000
2.0426 1.7803 5.7753
2.0426 -1.7803 5.7753
-1.0429 0.0000 5.7753
```

Calculated PXRD pattern of SmDy2Er2In for Cu Kα X-rays, from a structure optimized by DFT (GGA-PBE).
Kinematic intensities with the Lorentz-polarization factor, no thermal factor.

Top 8 peaks for 2θ from 5° to 70°, by angle:
31.20 deg, I = 70.2; 32.38 deg, I = 25.1; 32.89 deg, I = 100.0; 34.09 deg, I = 22.9; 36.43 deg, I = 11.3; 46.80 deg, I = 17.9; 57.62 deg, I = 12.3; 58.70 deg, I = 11.3

Cell and atoms:
```
SmDy2Er2In
1.0
6.6063 0.0000 0.0000
0.0000 10.1109 0.0000
0.0000 0.0000 5.4522
Sm Dy Er In
2 4 4 2
Cartesian
0.0000 0.0000 0.0000
3.3031 5.0554 2.7261
1.4039 1.9640 2.7261
1.8992 7.0195 0.0000
4.7071 3.0914 0.0000
5.2024 8.1469 2.7261
1.3419 3.7515 0.0000
1.9613 8.8070 2.7261
4.6450 1.3039 2.7261
5.2644 6.3593 0.0000
0.0000 5.0554 2.7261
3.3031 0.0000 0.0000
```

Calculated PXRD pattern of TbDy5Er2In for Cu Kα X-rays, from a structure optimized by DFT (GGA-PBE).
Kinematic intensities with the Lorentz-polarization factor, no thermal factor.

Top 8 peaks for 2θ from 5° to 70°, by angle:
27.32 deg, I = 10.7; 28.07 deg, I = 13.0; 30.90 deg, I = 29.4; 32.76 deg, I = 100.0; 33.54 deg, I = 31.8; 34.21 deg, I = 15.9; 48.66 deg, I = 12.0; 59.47 deg, I = 18.2

Cell and atoms:
```
TbDy5Er2In
1.0
2.6720 -10.0076 0.0000
2.6720 10.0076 0.0000
0.0000 0.0000 10.4849
Tb Dy Er In
2 10 4 2
Cartesian
2.6720 5.8732 7.8637
2.6720 -5.8732 2.6212
2.6720 9.7690 7.8637
2.6720 4.2179 0.5242
2.6720 4.2179 4.7183
2.6720 2.3498 7.8637
2.6720 0.0000 0.0000
2.6720 0.0000 5.2425
2.6720 -2.3498 2.6212
2.6720 -4.2179 5.7667
2.6720 -4.2179 9.9607
2.6720 -9.7690 2.6212
2.6720 7.6883 0.4274
2.6720 7.6883 4.8151
2.6720 -7.6883 5.6698
2.6720 -7.6883 10.0575
2.6720 1.9101 2.6212
2.6720 -1.9101 7.8637
```

Calculated PXRD pattern of Tb2DyErIn4 for Cu Kα X-rays, from a structure optimized by DFT (GGA-PBE).
Kinematic intensities with the Lorentz-polarization factor, no thermal factor.

Top 7 peaks for 2θ from 5° to 70°, by angle:
23.68 deg, I = 2.9; 33.73 deg, I = 100.0; 41.63 deg, I = 0.9; 48.45 deg, I = 17.9; 54.61 deg, I = 1.4; 60.31 deg, I = 27.7; 60.38 deg, I = 9.2

Cell and atoms:
```
Tb2DyErIn4
1.0
2.6555 1.5331 8.6909
-2.6555 1.5331 8.6909
0.0000 -3.0663 8.6909
Tb Dy Er In
2 1 1 4
Cartesian
0.0000 0.0000 6.5231
0.0000 0.0000 19.5497
0.0000 0.0000 13.0364
0.0000 0.0000 0.0000
0.0000 0.0000 3.2514
0.0000 0.0000 9.7686
0.0000 0.0000 16.3042
0.0000 0.0000 22.8214
```

Calculated PXRD pattern of TbDyEr5In2 for Cu Kα X-rays, from a structure optimized by DFT (GGA-PBE).
Kinematic intensities with the Lorentz-polarization factor, no thermal factor.

Top 8 peaks for 2θ from 5° to 70°, by angle:
29.79 deg, I = 33.8; 29.94 deg, I = 100.0; 33.50 deg, I = 30.1; 35.17 deg, I = 25.0; 37.03 deg, I = 25.9; 50.78 deg, I = 18.6; 57.70 deg, I = 12.7; 62.41 deg, I = 12.3

Cell and atoms:
```
TbDyEr5In2
1.0
-3.7832 3.7832 9.7110
3.7832 -3.7832 9.7110
3.7832 3.7832 -9.7110
Tb Dy Er In
2 2 10 4
Cartesian
0.0000 0.0000 4.8555
0.0000 0.0000 14.5665
3.7832 0.0000 4.8555
0.0000 3.7832 4.8555
0.0000 0.0000 0.0000
5.2957 1.5125 -2.3829
1.5125 2.2707 -2.3829
5.2957 1.5125 2.3829
1.5125 2.2707 2.3829
0.0000 0.0000 9.7110
2.2707 1.5125 7.3281
-1.5125 2.2707 7.3281
2.2707 1.5125 12.0939
-1.5125 2.2707 12.0939
2.8409 0.9424 0.0000
2.8409 -0.9424 9.7110
0.9424 4.7256 0.0000
0.9424 2.8409 9.7110
```